Structure and theoretical PXRD pattern of Ac4Cr3O10 (a DFT-relaxed cell (GGA+U, Alexandria); λ = 1.5418 Å (Cu Kα)).
No peak broadening, texture or thermal motion is included.

Structure:
a = 4.002 Å, b = 4.002 Å, c = 29.390 Å
α = 90.00°, β = 90.00°, γ = 90.00°
Space group I4/mmm (No. 139)
Inequivalent atoms, fractional coordinates:
Ac  0.000  0.000  0.067 x4
Ac  0.000  0.000  0.199 x4
Cr  0.000  0.000  0.361 x4
Cr  0.000  0.000  0.500 x2
O  0.000  0.000  0.284 x4
O  0.000  0.000  0.430 x4
O  0.000  0.500  0.000 x4
O  0.000  0.500  0.140 x8

Principal peaks in the range 2θ = 10–90°, sorted by position:
d_spacing, two_theta, I_rel
3.966, 22.42, 40
3.674, 24.23, 22
2.897, 30.87, 100
2.830, 31.61, 64
2.242, 40.22, 40
2.001, 45.32, 33
1.647, 55.84, 39
1.321, 71.39, 20